Diffraction record for Tc5Te4. The powder diffractogram is theoretical, not measured: it uses DFT lattice parameters and positions (GGA-PBE) and Cu Kα X-rays.

Peak list (6 most intense, 10 to 90 degrees two-theta, by angle)
| Position (°2θ) | I_rel | hkl |
| --- | --- | --- |
| 37.29 | 4 | 2 1 1 |
| 38.41 | 100 | 3 0 0 |
| 50.26 | 5 | 3 0 2 |
| 55.45 | 15 | 2 2 2 |
| 69.47 | 22 | 3 3 0 |
| 78.10 | 13 | 3 0 4 |

Crystal structure
```
Tc5Te4
1.0
8.1185 0.0000 0.0000
-4.0592 7.0308 0.0000
0.0000 0.0000 5.7395
Tc Te
10 8
Cartesian
-1.3076 2.2648 1.4349
-2.7517 4.7661 4.3047
2.6151 0.0000 1.4349
1.3076 2.2648 4.3047
0.0000 4.6872 0.0000
0.0000 4.6872 2.8698
4.0593 2.3436 0.0000
4.0593 2.3436 2.8698
5.5034 0.0000 4.3047
2.7517 4.7661 1.4349
0.0000 0.0000 0.0000
0.0000 0.0000 2.8698
-1.4812 2.5655 4.3047
-2.5781 4.4653 1.4349
2.9624 0.0000 4.3047
1.4812 2.5655 1.4349
5.1561 0.0000 1.4349
2.5781 4.4653 4.3047
```